The following is a calculated powder diffraction line list of Zr8As5. It was derived from the GGA-PBE geometry in Alexandria, using λ = 1.5418 Å (Cu Kα).

Structural model:
```
data_Zr8As5
_space_group_name_H-M_alt 'P 1 2/m 1'
_space_group_IT_number 10
_cell_length_a 10.213
_cell_length_b 3.737
_cell_length_c 28.767
_cell_angle_alpha 90.00
_cell_angle_beta 91.42
_cell_angle_gamma 90.00
loop_
_space_group_symop_operation_xyz
'x,y,z'
'-x,-y,-z'
'-x,y,-z'
'x,-y,z'
loop_
_atom_site_label
_atom_site_type_symbol
_atom_site_fract_x
_atom_site_fract_y
_atom_site_fract_z
Zr1 Zr 0.000 0.000 0.000
Zr2 Zr 0.000 0.000 0.443
Zr3 Zr 0.014 0.500 0.735
Zr4 Zr 0.032 0.500 0.918
Zr5 Zr 0.067 0.000 0.173
Zr6 Zr 0.167 0.500 0.628
Zr7 Zr 0.175 0.500 0.378
Zr8 Zr 0.212 0.500 0.505
Zr9 Zr 0.243 0.000 0.284
Zr10 Zr 0.247 0.500 0.016
Zr11 Zr 0.265 0.000 0.784
Zr12 Zr 0.323 0.500 0.128
Zr13 Zr 0.345 0.500 0.885
Zr14 Zr 0.413 0.000 0.670
Zr15 Zr 0.486 0.500 0.235
Zr16 Zr 0.495 0.500 0.418
Zr17 Zr 0.500 0.000 0.500
As1 As 0.014 0.000 0.338
As2 As 0.126 0.500 0.830
As3 As 0.167 0.000 0.082
As4 As 0.224 0.500 0.215
As5 As 0.234 0.000 0.945
As6 As 0.271 0.500 0.716
As7 As 0.287 0.000 0.438
As8 As 0.300 0.000 0.574
As9 As 0.395 0.500 0.328
As10 As 0.493 0.000 0.838
```

Main lines, low angle first (2θ from 5° to 70°):
2θ/deg	I/Imax	index
34.62	896	0 1 8
34.92	959	2 1 -6
35.19	725	4 0 0
35.40	946	2 1 6
35.89	593	3 1 1
38.80	576	3 1 -5
39.33	529	3 1 5
48.73	1000	0 2 0